Starting from a PBE+U-relaxed structure, the X-ray powder pattern of Rb2CoAsF6 was computed for Cu Kα (λ = 1.5418 Å).
Lines closer than 0.1° are merged.

Cell and atoms:
```
data_Rb2CoAsF6
_chemical_formula_sum 'Rb4 Co2 As2 F12'
_cell_length_a 6.121
_cell_length_b 6.121
_cell_length_c 8.684
_cell_angle_alpha 90.00
_cell_angle_beta 90.00
_cell_angle_gamma 90.00
_symmetry_space_group_name_H-M 'I 4/m m m'
_symmetry_Int_Tables_number 139
_symmetry_space_group_name_Hall '-I 4 2'
loop_
_atom_site_label
_atom_site_type_symbol
_atom_site_fract_x
_atom_site_fract_y
_atom_site_fract_z
Rb1 Rb 0.000 0.500 0.250
Co1 Co 0.000 0.000 0.000
As1 As 0.000 0.000 0.500
F1 F 0.000 0.000 0.260
F2 F 0.241 0.241 0.500
```

The 10 most intense peaks (2θ from 15° to 90°), most intense first:
| 2theta | I/Imax | hkl |
| --- | --- | --- |
| 29.1 | 100 | 2 0 0 |
| 51.7 | 40 | 3 1 2 |
| 41.7 | 30 | 2 2 0 |
| 60.4 | 18 | 2 2 4 |
| 41.6 | 15 | 0 0 4 |
| 83.5 | 14 | 5 1 2 |
| 68.5 | 12 | 4 2 0 |
| 35.9 | 12 | 2 0 2 |
| 60.5 | 9 | 4 0 0 |
| 76.1 | 9 | 4 0 4 |